# 1
Theoretical powder diffractogram
Compound: PuAg5
Radiation: Cu Kα X-rays
Structure: a DFT-relaxed cell (GGA-PBE, Alexandria)

Largest 10 diffraction maxima, low angle first, 2θ = 10–90°:
| 2θ/deg | I (rel.) |
| --- | --- |
| 28.2 | 17 |
| 35.0 | 100 |
| 37.4 | 96 |
| 41.1 | 63 |
| 43.8 | 30 |
| 61.7 | 37 |
| 69.5 | 17 |
| 74.0 | 22 |
| 74.8 | 13 |
| 76.3 | 11 |

Crystal structure
Lattice parameters (Å, degrees): 2.9573 4.1297 9.8210 90.00 90.00 90.00
Space group Pmmm (No. 47)
Inequivalent atoms, fractional coordinates:
Pu 0.0000 0.0000 0.0000 (multiplicity 1)
Ag 0.0000 0.0000 0.3477 (multiplicity 2)
Ag 0.5000 0.5000 0.2016 (multiplicity 2)
Ag 0.5000 0.5000 0.5000 (multiplicity 1)

# 2
Theoretical powder diffractogram
Compound: Cs2Li3SnI8
Radiation: Cu Kα X-rays
Structure: a DFT-relaxed cell (GGA-PBE, Alexandria)

Largest 10 diffraction maxima, low angle first, 2θ = 10–90°:
| 2θ/deg | I (rel.) |
| --- | --- |
| 19.6 | 53 |
| 21.7 | 99 |
| 23.5 | 100 |
| 25.9 | 63 |
| 27.0 | 48 |
| 27.5 | 85 |
| 27.8 | 71 |
| 31.5 | 58 |
| 39.8 | 91 |
| 49.3 | 76 |

Crystal structure
Lattice parameters (Å, degrees): 9.0573 9.0573 28.8769 90.00 90.00 120.00
Space group R3m (No. 160, hexagonal axes)
Inequivalent atoms, fractional coordinates:
Cs 0.0000 0.0000 0.0000 (multiplicity 3)
Cs 0.0000 0.0000 0.3481 (multiplicity 3)
Li 0.0779 0.5390 0.8617 (multiplicity 9)
Sn 0.0000 0.0000 0.7914 (multiplicity 3)
I 0.0000 0.0000 0.1281 (multiplicity 3)
I 0.0000 0.0000 0.6932 (multiplicity 3)
I 0.0426 0.5213 0.1366 (multiplicity 9)
I 0.1738 0.3476 0.9156 (multiplicity 9)